Calculated XRD peak list of Li5As3 for λ = 1.5418 Å (Cu Kα), from a DFT-relaxed cell (GGA-PBE, Alexandria).

Structural model:
a = 5.7572 Å, b = 6.5858 Å, c = 7.9886 Å
α = 71.66°, β = 74.40°, γ = 78.10°
Space group P-1 (No. 2)
Symmetry-distinct sites (fractional):
Li  0.0738  0.2866  0.4318 [2 per cell]
Li  0.1804  0.6195  0.8665 [2 per cell]
Li  0.2923  0.0584  0.8903 [2 per cell]
Li  0.3350  0.6366  0.2264 [2 per cell]
Li  0.3395  0.8521  0.5018 [2 per cell]
As  0.0623  0.0087  0.2474 [2 per cell]
As  0.3094  0.4235  0.5986 [2 per cell]
As  0.3506  0.2849  0.1119 [2 per cell]

The 10 most intense peaks (2θ = 10–90°), low angle first:
| 2theta | intensity | hkl |
| --- | --- | --- |
| 19.20 | 22.1 | 1 1 1 |
| 21.08 | 18.8 | 0 1 -1 |
| 23.01 | 100.0 | 1 -1 0 |
| 24.40 | 94.1 | 0 1 2 |
| 25.90 | 97.3 | 1 0 2 |
| 31.20 | 34.9 | 1 2 0 |
| 33.88 | 38.1 | 2 1 0 |
| 37.07 | 36.9 | 1 1 -2 |
| 38.98 | 23.8 | 2 2 2 |
| 45.58 | 19.2 | 1 1 4 |